No. 1
Computed XRD peak list of KCuSe for Cu Ka, from DFT lattice parameters and positions (PBE).
Peak positions follow from Bragg's law for the DFT cell and can differ from measured ones.

Cell and atoms:
```
data_KCuSe
_chemical_formula_sum 'K2 Cu2 Se2'
_cell_length_a 4.1938
_cell_length_b 4.1938
_cell_length_c 9.8071
_cell_angle_alpha 90.00
_cell_angle_beta 90.00
_cell_angle_gamma 120.00
_space_group_name_H-M_alt 'P 63/m m c'
_space_group_IT_number 194
_space_group_name_Hall '-P 6c 2c'
loop_
_atom_site_label
_atom_site_type_symbol
_atom_site_fract_x
_atom_site_fract_y
_atom_site_fract_z
K1 K 0.0000 0.0000 0.0000
Cu1 Cu 0.3333 0.6667 0.2500
Se1 Se 0.3333 0.6667 0.7500
```

Peak list (10 most intense, 10° ≤ 2θ ≤ 90°, by angle)
Position (°2θ), I/Imax, index
18.09, 52, 0 0 2
30.63, 100, 1 0 2
36.65, 27, 0 0 4
43.14, 51, 1 1 0
47.14, 27, 1 1 2
53.83, 18, 2 0 2
57.86, 40, 1 1 4
62.29, 11, 1 0 6
71.35, 15, 2 1 2
79.10, 8, 3 0 0

***

No. 2
Computed XRD peak list of KCu4Se3 for Cu Ka, from DFT lattice parameters and positions (PBE).
Peak positions follow from Bragg's law for the DFT cell and can differ from measured ones.

Cell and atoms:
```
data_KCu4Se3
_chemical_formula_sum 'K1 Cu4 Se3'
_cell_length_a 4.0078
_cell_length_b 4.0078
_cell_length_c 9.8678
_cell_angle_alpha 90.00
_cell_angle_beta 90.00
_cell_angle_gamma 90.00
_space_group_name_H-M_alt 'P 4/m m m'
_space_group_IT_number 123
_space_group_name_Hall '-P 4 2'
loop_
_atom_site_label
_atom_site_type_symbol
_atom_site_fract_x
_atom_site_fract_y
_atom_site_fract_z
K1 K 0.0000 0.0000 0.0000
Cu1 Cu 0.0000 0.5000 0.3380
Se1 Se 0.0000 0.0000 0.5000
Se2 Se 0.5000 0.5000 0.1981
```

Peak list (10 most intense, 10° ≤ 2θ ≤ 90°, by angle)
Position (°2θ), I/Imax, index
17.98, 19, 0 0 2
23.97, 18, 1 0 1
28.70, 88, 1 0 2
32.88, 25, 1 1 1
42.09, 100, 1 1 3
45.25, 62, 2 0 0
48.95, 33, 1 1 4
54.47, 27, 2 1 2
65.92, 19, 2 2 0
81.36, 27, 3 1 3

***

No. 3
Computed XRD peak list of K3Cu8Se6 for Cu Ka, from DFT lattice parameters and positions (PBE).
Peak positions follow from Bragg's law for the DFT cell and can differ from measured ones.

Cell and atoms:
```
data_K3Cu8Se6
_chemical_formula_sum 'K6 Cu16 Se12'
_cell_length_a 18.0193
_cell_length_b 3.9864
_cell_length_c 10.1231
_cell_angle_alpha 90.00
_cell_angle_beta 105.24
_cell_angle_gamma 90.00
_space_group_name_H-M_alt 'C 1 2/m 1'
_space_group_IT_number 12
loop_
_space_group_symop_operation_xyz
'x,y,z'
'-x,-y,-z'
'-x,y,-z'
'x,-y,z'
'x+1/2,y+1/2,z'
'-x+1/2,-y+1/2,-z'
'-x+1/2,y+1/2,-z'
'x+1/2,-y+1/2,z'
loop_
_atom_site_label
_atom_site_type_symbol
_atom_site_fract_x
_atom_site_fract_y
_atom_site_fract_z
K1 K 0.0000 0.0000 0.0000
K2 K 0.1907 0.0000 0.3010
Cu1 Cu 0.0170 0.0000 0.6373
Cu2 Cu 0.0790 0.5000 0.5277
Cu3 Cu 0.1046 0.5000 0.7827
Cu4 Cu 0.1977 0.0000 0.9113
Se1 Se 0.0392 0.5000 0.2844
Se2 Se 0.1569 0.0000 0.6466
Se3 Se 0.1587 0.5000 0.0243
```

Peak list (10 most intense, 10° ≤ 2θ ≤ 90°, by angle)
Position (°2θ), I/Imax, index
11.72, 100, 2 0 -1
27.38, 17, 0 0 3
30.45, 26, 3 1 -2
34.22, 27, 5 1 0
37.05, 21, 1 1 3
41.77, 37, 7 1 -1
42.55, 33, 1 1 -4
45.51, 25, 0 2 0
47.16, 28, 6 0 3
50.69, 14, 3 1 -5

***

Repeat the third record exactly.
Computed XRD peak list of K3Cu8Se6 for Cu Ka, from DFT lattice parameters and positions (PBE).
Peak positions follow from Bragg's law for the DFT cell and can differ from measured ones.

Cell and atoms:
```
data_K3Cu8Se6
_chemical_formula_sum 'K6 Cu16 Se12'
_cell_length_a 18.0193
_cell_length_b 3.9864
_cell_length_c 10.1231
_cell_angle_alpha 90.00
_cell_angle_beta 105.24
_cell_angle_gamma 90.00
_space_group_name_H-M_alt 'C 1 2/m 1'
_space_group_IT_number 12
loop_
_space_group_symop_operation_xyz
'x,y,z'
'-x,-y,-z'
'-x,y,-z'
'x,-y,z'
'x+1/2,y+1/2,z'
'-x+1/2,-y+1/2,-z'
'-x+1/2,y+1/2,-z'
'x+1/2,-y+1/2,z'
loop_
_atom_site_label
_atom_site_type_symbol
_atom_site_fract_x
_atom_site_fract_y
_atom_site_fract_z
K1 K 0.0000 0.0000 0.0000
K2 K 0.1907 0.0000 0.3010
Cu1 Cu 0.0170 0.0000 0.6373
Cu2 Cu 0.0790 0.5000 0.5277
Cu3 Cu 0.1046 0.5000 0.7827
Cu4 Cu 0.1977 0.0000 0.9113
Se1 Se 0.0392 0.5000 0.2844
Se2 Se 0.1569 0.0000 0.6466
Se3 Se 0.1587 0.5000 0.0243
```

Peak list (10 most intense, 10° ≤ 2θ ≤ 90°, by angle)
Position (°2θ), I/Imax, index
11.72, 100, 2 0 -1
27.38, 17, 0 0 3
30.45, 26, 3 1 -2
34.22, 27, 5 1 0
37.05, 21, 1 1 3
41.77, 37, 7 1 -1
42.55, 33, 1 1 -4
45.51, 25, 0 2 0
47.16, 28, 6 0 3
50.69, 14, 3 1 -5